No. 1
Dy4GaSn3: simulated powder diffractogram (CuKα), based on DFT lattice parameters and positions (GGA-PBE).
Intensities are scaled so that the largest is 100.

Atomic structure:
```
Dy4GaSn3
1.0
4.221 0.000 0.000
0.000 4.489 0.000
0.000 0.000 11.283
Dy Ga Sn
4 1 3
Direct
0.000 0.000 0.000 Dy
0.000 0.500 0.487 Dy
0.500 0.000 0.718 Dy
0.500 0.500 0.222 Dy
0.000 0.000 0.267 Ga
0.000 0.500 0.762 Sn
0.500 0.000 0.436 Sn
0.500 0.500 0.948 Sn
```

Top 8 peaks for 2θ = 10–90°, sorted by position:
2θ (°)  I (rel.)  index
30.12  100.0  1 1 1
31.02  22.4  0 1 3
31.72  32.4  0 0 4
37.79  63.6  1 1 3
40.18  26.1  0 2 0
42.85  21.8  2 0 0
52.08  16.6  0 2 4
60.19  16.1  2 2 0

=====

No. 2
La4NbI2: simulated powder diffractogram (CuKα), based on DFT lattice parameters and positions (GGA-PBE).
Intensities are scaled so that the largest is 100.

Atomic structure:
```
La4NbI2
1.0
5.692 0.000 0.000
0.000 5.692 0.000
0.000 0.000 16.256
La Nb I
8 2 4
Direct
0.000 0.000 0.177 La
0.000 0.000 0.823 La
0.000 0.500 0.000 La
0.000 0.500 0.500 La
0.500 0.000 0.000 La
0.500 0.000 0.500 La
0.500 0.500 0.323 La
0.500 0.500 0.677 La
0.000 0.000 0.000 Nb
0.500 0.500 0.500 Nb
0.000 0.000 0.380 I
0.000 0.000 0.620 I
0.500 0.500 0.120 I
0.500 0.500 0.880 I
```

Top 8 peaks for 2θ = 10–90°, sorted by position:
2θ (°)  I (rel.)  index
10.89  36.1  0 0 2
22.09  37.2  1 1 0
24.68  50.4  1 1 2
31.28  62.2  1 1 4
31.43  100.0  2 0 0
31.69  62.5  1 0 5
45.05  36.7  2 2 0
45.24  46.1  2 1 5